For In8BiPb3, a DFT-relaxed cell (PBE, Alexandria) gives the theoretical powder diffractogram in this record (Cu Ka).

Structural model:
abc: 7.691 7.691 5.963
angles: 90.15 90.15 96.76
Element x y z (fractional)
In 0.085 0.085 0.252
In 0.085 0.588 0.502
In 0.247 0.251 0.743
In 0.411 0.418 0.252
In 0.412 0.915 0.498
In 0.582 0.589 0.748
In 0.749 0.753 0.257
In 0.915 0.915 0.748
Bi 0.748 0.252 0.500
Pb 0.249 0.751 0.000
Pb 0.580 0.084 0.999
Pb 0.916 0.420 0.001

Principal peaks in the range 10° ≤ 2θ ≤ 90°, low angle first:
d = 5.750 Å, rel. 9.5
d = 2.872 Å, rel. 100.0
d = 2.859 Å, rel. 50.3
d = 2.647 Å, rel. 78.6
d = 2.344 Å, rel. 29.2
d = 2.339 Å, rel. 29.2
d = 1.815 Å, rel. 26.8
d = 1.701 Å, rel. 11.3
d = 1.695 Å, rel. 10.7
d = 1.633 Å, rel. 18.1
d = 1.612 Å, rel. 17.5
d = 1.437 Å, rel. 18.3

=====

For KScCuBr6, a DFT-relaxed cell (PBE, Alexandria) gives the theoretical powder diffractogram in this record (Cu Ka).

Structural model:
abc: 6.763 6.763 7.320
angles: 93.29 93.27 114.00
Element x y z (fractional)
K 0.000 0.000 0.000
Sc 0.343 0.657 0.500
Cu 0.688 0.309 0.500
Br 0.029 0.349 0.674
Br 0.041 0.618 0.254
Br 0.382 0.959 0.746
Br 0.423 0.358 0.285
Br 0.641 0.577 0.715
Br 0.651 0.971 0.326

Principal peaks in the range 10° ≤ 2θ ≤ 90°, low angle first:
d = 7.279 Å, rel. 95.9
d = 4.508 Å, rel. 29.0
d = 3.640 Å, rel. 33.7
d = 3.420 Å, rel. 80.4
d = 3.142 Å, rel. 50.7
d = 3.108 Å, rel. 82.7
d = 2.996 Å, rel. 94.2
d = 2.729 Å, rel. 50.2
d = 2.412 Å, rel. 100.0
d = 2.051 Å, rel. 56.6
d = 2.014 Å, rel. 41.1
d = 1.931 Å, rel. 28.2

=====

For HPtAu2, a DFT-relaxed cell (PBE, Alexandria) gives the theoretical powder diffractogram in this record (Cu Ka).

Structural model:
abc: 4.746 5.546 4.759
angles: 90.00 112.42 90.00
Element x y z (fractional)
H 0.196 0.250 0.205
H 0.804 0.750 0.795
Pt 0.000 0.000 0.000
Pt 0.000 0.500 0.000
Au 0.212 0.750 0.569
Au 0.430 0.250 0.791
Au 0.570 0.750 0.209
Au 0.788 0.250 0.431

Principal peaks in the range 10° ≤ 2θ ≤ 90°, low angle first:
d = 3.444 Å, rel. 26.0
d = 2.643 Å, rel. 20.0
d = 2.386 Å, rel. 66.3
d = 2.357 Å, rel. 100.0
d = 2.345 Å, rel. 85.6
d = 2.270 Å, rel. 73.1
d = 2.169 Å, rel. 40.4
d = 2.045 Å, rel. 17.0
d = 1.722 Å, rel. 24.7
d = 1.515 Å, rel. 16.5
d = 1.414 Å, rel. 20.4
d = 1.195 Å, rel. 24.1

=====

For GaPS4, a DFT-relaxed cell (PBE, Alexandria) gives the theoretical powder diffractogram in this record (Cu Ka).

Structural model:
abc: 5.517 5.517 8.918
angles: 90.00 90.00 90.00
Element x y z (fractional)
Ga 0.000 0.000 0.000
Ga 0.000 0.000 0.500
P 0.000 0.500 0.250
P 0.500 0.000 0.750
S 0.235 0.287 0.373
S 0.235 0.713 0.127
S 0.287 0.235 0.873
S 0.287 0.765 0.627
S 0.713 0.235 0.627
S 0.713 0.765 0.873
S 0.765 0.287 0.127
S 0.765 0.713 0.373

Principal peaks in the range 10° ≤ 2θ ≤ 90°, low angle first:
d = 5.517 Å, rel. 33.9
d = 4.692 Å, rel. 29.1
d = 3.468 Å, rel. 29.9
d = 2.936 Å, rel. 100.0
d = 2.467 Å, rel. 15.1
d = 2.159 Å, rel. 16.8
d = 2.067 Å, rel. 8.8
d = 1.950 Å, rel. 24.6
d = 1.734 Å, rel. 35.4
d = 1.625 Å, rel. 25.5
d = 1.389 Å, rel. 8.6
d = 1.131 Å, rel. 8.4